Ti6NO: calculated powder XRD pattern (copper Kα), based on a DFT-relaxed cell (GGA-PBE, Alexandria).
Kinematic intensities with the Lorentz-polarization factor, no thermal factor.

Peak list (10 most intense, 2θ from 15° to 90°, by angle)
| hkl | 2θ/deg | d_spacing | I (rel.) |
| --- | --- | --- | --- |
| 1 0 1 | 21.99 | 4.043 | 3 |
| 1 1 0 | 34.93 | 2.569 | 15 |
| 0 0 4 | 37.17 | 2.419 | 22 |
| 2 -1 2 | 39.73 | 2.269 | 100 |
| 1 1 4 | 51.92 | 1.761 | 20 |
| 3 0 0 | 62.63 | 1.483 | 18 |
| 1 1 6 | 68.72 | 1.366 | 17 |
| 3 0 4 | 75.13 | 1.264 | 14 |
| 2 2 2 | 76.77 | 1.241 | 12 |
| 4 -2 4 | 85.62 | 1.134 | 4 |

Crystal structure
Cell: 5.1379 5.1379 9.6763 Å, 90.00 90.00 120.00°
Space group P-31c (No. 163)
Symmetry-distinct sites (fractional):
Ti: 0.0112 0.3365 0.1254 (multiplicity 12)
N: 0.3333 0.6667 0.2500 (multiplicity 2)
O: 0.0000 0.0000 0.0000 (multiplicity 2)